1.
This entry pairs a crystal structure of Li5Pd2 with its calculated XRD peak list. Radiation: Cu Kα. Structure: the GGA-PBE geometry in Alexandria.
No peak broadening, texture or thermal motion is included.

```
14
Lattice="-3.2623 6.1620 2.6917 3.2623 -6.1620 2.6917 3.2623 6.1620 -2.6917" Properties=species:S:1:pos:R:3 pbc="T T T"
Li 3.2623 3.3019 -1.3458
Li 4.3158 1.0615 0.0000
Li 0.0000 0.0000 1.3458
Li 1.0536 5.1005 0.0000
Li 0.0000 2.8601 1.3458
Li 3.2623 3.3019 1.3458
Li 2.2087 1.0615 2.6917
Li 0.0000 0.0000 4.0375
Li -1.0536 5.1005 2.6917
Li 0.0000 2.8601 4.0375
Pd 1.7455 1.5270 0.0000
Pd 1.7455 -1.5270 2.6917
Pd 1.5168 7.6890 0.0000
Pd 1.5168 4.6350 2.6917
```

Main lines, in order of falling intensity (2θ = 10–90°):
25.87 deg, rel. 100
27.34 deg, rel. 20
28.98 deg, rel. 19
47.44 deg, rel. 18
40.26 deg, rel. 18
49.51 deg, rel. 18
43.59 deg, rel. 15
44.71 deg, rel. 15
33.29 deg, rel. 13
53.20 deg, rel. 12

2.
This entry pairs a crystal structure of Pu4IrRu3 with its calculated XRD peak list. Radiation: Cu Kα. Structure: the GGA-PBE geometry in Alexandria.
No peak broadening, texture or thermal motion is included.

```
16
Lattice="4.8537 0.0000 0.0000 0.0000 4.8537 0.0000 0.0000 0.0000 13.2575" Properties=species:S:1:pos:R:3 pbc="T T T"
Pu 0.0000 2.4269 1.6539
Pu 0.0000 2.4269 4.9749
Pu 0.0000 2.4269 8.2826
Pu 0.0000 2.4269 11.6036
Pu 2.4269 0.0000 1.6539
Pu 2.4269 0.0000 4.9749
Pu 2.4269 0.0000 8.2826
Pu 2.4269 0.0000 11.6036
Ir 0.0000 0.0000 0.0000
Ir 2.4269 2.4269 6.6287
Ru 0.0000 0.0000 3.3605
Ru 0.0000 0.0000 6.6287
Ru 0.0000 0.0000 9.8969
Ru 2.4269 2.4269 0.0000
Ru 2.4269 2.4269 3.2682
Ru 2.4269 2.4269 9.9893
```

Main lines, in order of falling intensity (2θ = 10–90°):
37.73 deg, rel. 100
37.04 deg, rel. 53
67.22 deg, rel. 38
53.39 deg, rel. 19
68.57 deg, rel. 18
25.96 deg, rel. 12
80.59 deg, rel. 11
55.45 deg, rel. 8
78.89 deg, rel. 6
46.37 deg, rel. 5

3.
This entry pairs a crystal structure of CeThInOs with its calculated XRD peak list. Radiation: Cu Kα. Structure: the GGA-PBE geometry in Alexandria.
No peak broadening, texture or thermal motion is included.

```
4
Lattice="3.3378 0.0000 0.0000 0.0000 3.3378 0.0000 0.0000 0.0000 8.9200" Properties=species:S:1:pos:R:3 pbc="T T T"
Ce 0.0000 0.0000 0.0000
Th 0.0000 0.0000 3.7151
In 1.6689 1.6689 6.3531
Os 1.6689 1.6689 1.8263
```

Main lines, in order of falling intensity (2θ = 10–90°):
33.53 deg, rel. 100
38.13 deg, rel. 41
66.00 deg, rel. 29
40.64 deg, rel. 17
55.02 deg, rel. 14
56.80 deg, rel. 14
40.45 deg, rel. 9
70.47 deg, rel. 7
65.60 deg, rel. 7
70.60 deg, rel. 7

4.
This entry pairs a crystal structure of Cr2B2Ir with its calculated XRD peak list. Radiation: Cu Kα. Structure: the GGA-PBE geometry in Alexandria.
No peak broadening, texture or thermal motion is included.

```
20
Lattice="1.4428 -5.0365 0.0000 1.4428 5.0365 0.0000 0.0000 0.0000 13.4816" Properties=species:S:1:pos:R:3 pbc="T T T"
Cr 1.4428 5.0117 10.1112
Cr 1.4428 3.2772 0.7924
Cr 1.4428 3.2772 5.9484
Cr 1.4428 2.3219 3.3704
Cr 1.4428 -2.3219 10.1112
Cr 1.4428 -3.2772 7.5332
Cr 1.4428 -3.2772 12.6892
Cr 1.4428 -5.0117 3.3704
B 1.4428 3.0019 8.5018
B 1.4428 3.0019 11.7205
B 1.4428 1.3580 9.1926
B 1.4428 1.3580 11.0298
B 1.4428 -1.3580 2.4518
B 1.4428 -1.3580 4.2890
B 1.4428 -3.0019 1.7610
B 1.4428 -3.0019 4.9797
Ir 1.4428 0.5665 1.1977
Ir 1.4428 0.5665 5.5431
Ir 1.4428 -0.5665 7.9385
Ir 1.4428 -0.5665 12.2839
```

Main lines, in order of falling intensity (2θ = 10–90°):
41.09 deg, rel. 100
46.14 deg, rel. 90
17.61 deg, rel. 76
40.13 deg, rel. 66
32.27 deg, rel. 59
42.19 deg, rel. 59
13.13 deg, rel. 51
43.48 deg, rel. 42
26.58 deg, rel. 36
34.98 deg, rel. 35

5.
This entry pairs a crystal structure of LiCuPO4 with its calculated XRD peak list. Radiation: Cu Kα. Structure: the GGA-PBE geometry in Alexandria.
No peak broadening, texture or thermal motion is included.

```
28
Lattice="8.0413 0.0000 0.0000 0.0000 5.1444 0.0000 -0.8447 0.0000 8.5019" Properties=species:S:1:pos:R:3 pbc="T T T"
Li 0.1297 0.0000 1.4817
Li 3.0149 2.3869 4.9499
Li 4.1816 4.9590 3.5520
Li 7.0669 2.5722 7.0202
Cu 0.1869 2.8353 3.3130
Cu 1.8443 4.9268 7.7157
Cu 5.3523 2.3547 0.7862
Cu 7.0097 0.2631 5.1889
P 1.4247 5.0692 4.4897
P 2.0310 2.4598 0.6709
P 5.1656 5.0320 7.8309
P 5.7719 2.4971 4.0122
O 0.2094 0.3305 3.5617
O 0.9865 3.1480 1.6012
O 0.8427 0.2389 5.9184
O 0.9641 3.1468 7.7812
O 1.6910 0.9406 0.5425
O 1.6715 3.5447 4.3409
O 2.6714 0.7173 4.1783
O 3.4805 2.6737 1.1633
O 3.7160 0.1015 7.3386
O 4.5252 3.2895 4.3236
O 5.5251 0.9725 4.1610
O 5.5056 3.5128 7.9594
O 6.2324 0.5747 0.7207
O 6.3538 2.8111 2.5835
O 6.2101 0.5758 6.9007
O 6.9872 2.9027 4.9402
```

Main lines, in order of falling intensity (2θ = 10–90°):
20.18 deg, rel. 100
20.90 deg, rel. 54
14.43 deg, rel. 49
30.25 deg, rel. 49
34.88 deg, rel. 46
25.53 deg, rel. 43
15.94 deg, rel. 34
36.20 deg, rel. 31
11.06 deg, rel. 30
22.22 deg, rel. 22

6.
This entry pairs a crystal structure of Cr6Os7 with its calculated XRD peak list. Radiation: Cu Kα. Structure: the GGA-PBE geometry in Alexandria.
No peak broadening, texture or thermal motion is included.

```
13
Lattice="2.5323 1.4620 8.5898 -2.5323 1.4620 8.5898 0.0000 -2.9240 8.5898" Properties=species:S:1:pos:R:3 pbc="T T T"
Cr 0.0000 0.0000 1.0956
Cr 0.0000 0.0000 3.7984
Cr 0.0000 0.0000 8.7060
Cr 0.0000 0.0000 17.0633
Cr 0.0000 0.0000 21.9709
Cr 0.0000 0.0000 24.6737
Os -1.2931 -0.7466 10.7594
Os 0.0000 -1.4932 15.0099
Os -1.2931 0.7466 15.0099
Os 0.0000 0.0000 12.8847
Os 1.2931 -0.7466 10.7594
Os 0.0000 1.4932 10.7594
Os 1.2931 0.7466 15.0099
```

Main lines, in order of falling intensity (2θ = 10–90°):
41.36 deg, rel. 100
44.92 deg, rel. 60
20.68 deg, rel. 57
20.54 deg, rel. 45
48.31 deg, rel. 44
42.08 deg, rel. 29
41.78 deg, rel. 29
75.02 deg, rel. 24
43.81 deg, rel. 23
76.39 deg, rel. 22

7.
This entry pairs a crystal structure of La3PmTe4 with its calculated XRD peak list. Radiation: Cu Kα. Structure: the GGA-PBE geometry in Alexandria.
No peak broadening, texture or thermal motion is included.

```
16
Lattice="9.1711 0.0000 0.0000 0.0000 12.8812 0.0000 0.0000 0.0000 4.5195" Properties=species:S:1:pos:R:3 pbc="T T T"
La 0.0000 0.0000 0.0000
La 2.2928 3.2203 2.2597
La 2.2928 9.6609 2.2597
La 4.5856 6.4406 0.0000
La 6.8783 3.2203 2.2597
La 6.8783 9.6609 2.2597
Pm 0.0000 6.4406 0.0000
Pm 4.5856 0.0000 0.0000
Te 0.0000 3.2524 0.0000
Te 0.0000 9.6287 0.0000
Te 2.2467 6.4406 2.2597
Te 2.3389 0.0000 2.2597
Te 4.5856 3.1881 0.0000
Te 4.5856 9.6930 0.0000
Te 6.8322 0.0000 2.2597
Te 6.9244 6.4406 2.2597
```

Main lines, in order of falling intensity (2θ = 10–90°):
27.71 deg, rel. 100
39.59 deg, rel. 51
64.74 deg, rel. 24
48.76 deg, rel. 14
49.26 deg, rel. 14
39.30 deg, rel. 13
57.23 deg, rel. 13
39.89 deg, rel. 13
71.43 deg, rel. 9
72.23 deg, rel. 9

8.
This entry pairs a crystal structure of Rb2SrCdSb2 with its calculated XRD peak list. Radiation: Cu Kα. Structure: the GGA-PBE geometry in Alexandria.
No peak broadening, texture or thermal motion is included.

```
12
Lattice="-3.7654 8.4727 3.8387 3.7654 -8.4727 3.8387 3.7654 8.4727 -3.8387" Properties=species:S:1:pos:R:3 pbc="T T T"
Rb 1.6810 3.0184 0.0000
Rb 1.6810 -3.0184 3.8387
Rb 2.0844 11.4910 0.0000
Rb 2.0844 5.4543 3.8387
Sr 3.7654 0.0000 1.9194
Sr 0.0000 8.4727 1.9194
Cd 0.0000 0.0000 1.9194
Cd 0.0000 0.0000 5.7581
Sb 5.8408 1.6626 0.0000
Sb 2.0754 6.8101 0.0000
Sb 1.6900 1.6626 3.8387
Sb -2.0754 6.8101 3.8387
```

Main lines, in order of falling intensity (2θ = 10–90°):
33.33 deg, rel. 100
26.79 deg, rel. 100
10.44 deg, rel. 67
31.45 deg, rel. 61
31.80 deg, rel. 56
25.47 deg, rel. 30
25.89 deg, rel. 28
43.00 deg, rel. 27
46.07 deg, rel. 27
43.53 deg, rel. 21

9.
This entry pairs a crystal structure of Sr2ScZnSe5 with its calculated XRD peak list. Radiation: Cu Kα. Structure: the GGA-PBE geometry in Alexandria.
No peak broadening, texture or thermal motion is included.

```
18
Lattice="2.0360 -9.1541 0.0000 2.0360 9.1541 0.0000 0.0000 0.0000 12.5961" Properties=species:S:1:pos:R:3 pbc="T T T"
Sr 2.0360 6.9958 6.2980
Sr 2.0360 6.8501 1.6438
Sr 2.0360 -6.8501 7.9418
Sr 2.0360 -6.9958 0.0000
Sc 2.0360 5.3627 10.4640
Sc 2.0360 -5.3627 4.1660
Zn 2.0360 1.1275 3.1464
Zn 2.0360 -1.1275 9.4444
Se 2.0360 8.1386 10.8162
Se 2.0360 3.7821 5.9878
Se 2.0360 3.5640 2.2910
Se 2.0360 2.7078 10.3151
Se 2.0360 0.0146 7.3236
Se 2.0360 -0.0146 1.0256
Se 2.0360 -2.7078 4.0171
Se 2.0360 -3.5640 8.5890
Se 2.0360 -3.7821 12.2858
Se 2.0360 -8.1386 4.5182
```

Main lines, in order of falling intensity (2θ = 10–90°):
30.98 deg, rel. 100
30.13 deg, rel. 51
29.97 deg, rel. 36
35.93 deg, rel. 33
44.50 deg, rel. 30
32.90 deg, rel. 29
50.61 deg, rel. 27
54.67 deg, rel. 22
28.86 deg, rel. 22
26.52 deg, rel. 14

10.
This entry pairs a crystal structure of CrNi6Rh3 with its calculated XRD peak list. Radiation: Cu Kα. Structure: the GGA-PBE geometry in Alexandria.
No peak broadening, texture or thermal motion is included.

```
20
Lattice="3.6391 2.1010 5.4887 -3.6391 2.1010 5.4887 0.0000 -4.2021 5.4887" Properties=species:S:1:pos:R:3 pbc="T T T"
Cr 0.0000 0.0000 0.0000
Cr 0.0000 0.0000 8.2330
Ni 0.0000 -2.8185 3.7087
Ni -2.4409 1.4092 3.7087
Ni 0.0000 -1.6050 5.8867
Ni -1.3900 0.8025 5.8867
Ni -2.4409 -1.4092 12.7572
Ni -1.3900 -0.8025 10.5793
Ni 1.3900 0.8025 5.8867
Ni 2.4409 1.4092 3.7088
Ni 1.3900 -0.8025 10.5792
Ni 0.0000 1.6050 10.5792
Ni 2.4409 -1.4092 12.7572
Ni 0.0000 2.8185 12.7572
Rh -2.1758 -1.2562 7.1773
Rh 0.0000 -2.5124 9.2887
Rh -2.1758 1.2562 9.2887
Rh 2.1758 -1.2562 7.1773
Rh 0.0000 2.5124 7.1773
Rh 2.1758 1.2562 9.2887
```

Main lines, in order of falling intensity (2θ = 10–90°):
46.27 deg, rel. 100
39.58 deg, rel. 71
43.91 deg, rel. 38
47.08 deg, rel. 30
39.37 deg, rel. 27
43.05 deg, rel. 25
84.29 deg, rel. 25
50.13 deg, rel. 19
49.84 deg, rel. 19
35.89 deg, rel. 17

11.
This entry pairs a crystal structure of CaPuPN4 with its calculated XRD peak list. Radiation: Cu Kα. Structure: the GGA-PBE geometry in Alexandria.
No peak broadening, texture or thermal motion is included.

```
14
Lattice="5.4459 0.0000 0.0000 0.0000 5.4355 0.0000 -1.8594 0.0000 6.4100" Properties=species:S:1:pos:R:3 pbc="T T T"
Ca 0.3408 1.3589 2.7554
Ca 3.2456 4.0766 3.6547
Pu -0.2856 1.3589 6.1063
Pu 3.8721 4.0766 0.3037
P 1.0681 4.0766 1.2178
P 2.5184 1.3589 5.1922
N -0.2849 4.0766 2.1488
N -1.3551 4.0766 6.0445
N 2.0790 2.7953 1.4167
N 2.0790 5.3579 1.4167
N 1.5075 0.0776 4.9933
N 1.5075 2.6401 4.9933
N 4.9416 1.3589 0.3655
N 3.8714 1.3589 4.2612
```

Main lines, in order of falling intensity (2θ = 10–90°):
13.82 deg, rel. 100
23.61 deg, rel. 72
24.88 deg, rel. 30
32.96 deg, rel. 28
32.85 deg, rel. 26
29.82 deg, rel. 25
40.44 deg, rel. 25
35.89 deg, rel. 19
48.30 deg, rel. 18
41.47 deg, rel. 18

12.
This entry pairs a crystal structure of Na10B11C9 with its calculated XRD peak list. Radiation: Cu Kα. Structure: the GGA-PBE geometry in Alexandria.
No peak broadening, texture or thermal motion is included.

```
30
Lattice="7.1050 -2.4583 0.0000 7.1050 2.4583 0.0000 -5.6853 0.0000 8.4432" Properties=species:S:1:pos:R:3 pbc="T T T"
Na -1.4215 0.0000 2.1137
Na 9.9462 0.0000 6.3294
Na 1.4265 -0.0029 2.0996
Na -1.4221 -0.0001 6.3275
Na 4.2625 0.0048 2.1174
Na 1.4258 -0.0027 6.3451
Na 4.2622 0.0048 6.3258
Na 7.0988 -0.0027 2.0981
Na 9.9468 -0.0001 2.1156
Na 7.0981 -0.0029 6.3436
B 2.8432 0.8189 0.0022
B 4.2623 1.5580 4.2216
B -0.0035 0.8192 8.4405
B -0.0031 -0.8156 4.2211
B 8.5282 0.8192 0.0026
B 2.7635 -0.8065 4.2226
B 5.6815 0.8189 8.4410
B 5.7611 -0.8065 4.2206
B 4.2623 -1.6340 4.2216
B 7.1050 -1.6391 0.0000
B 8.5278 -0.8156 4.2221
C 0.0387 0.8374 4.2210
C 7.1050 1.6365 0.0000
C 2.8249 0.8210 4.2229
C 2.8425 -0.8216 0.0016
C 5.6998 0.8210 4.2203
C -0.0021 -0.8219 8.4364
C 8.4860 0.8374 4.2222
C 8.5268 -0.8219 0.0067
C 5.6822 -0.8216 8.4415
```

Main lines, in order of falling intensity (2θ = 10–90°):
42.54 deg, rel. 100
42.84 deg, rel. 26
36.53 deg, rel. 17
65.76 deg, rel. 17
81.73 deg, rel. 17
78.27 deg, rel. 12
81.52 deg, rel. 11
57.54 deg, rel. 10
77.61 deg, rel. 1
69.91 deg, rel. 1